[1]
# Hf2GeH
Theoretical powder diffractogram, Cu Kα. Input: a DFT-relaxed cell (GGA-PBE, Alexandria).
Kinematic intensities with the Lorentz-polarization factor, no thermal factor.

The 6 most intense peaks (10° ≤ 2θ ≤ 80°), by angle:
| 2θ (°) | I (rel.) |
| --- | --- |
| 34.54 | 100 |
| 35.18 | 47 |
| 37.91 | 35 |
| 38.06 | 35 |
| 42.18 | 23 |
| 48.28 | 20 |

Structural model:
```
data_Hf2GeH
_cell_length_a 3.193
_cell_length_b 3.207
_cell_length_c 6.605
_cell_angle_alpha 79.22
_cell_angle_beta 79.33
_cell_angle_gamma 72.19
_symmetry_space_group_name_H-M 'P 1'
_symmetry_Int_Tables_number 1
loop_
_symmetry_equiv_pos_as_xyz
'x,y,z'
loop_
_atom_site_label
_atom_site_type_symbol
_atom_site_fract_x
_atom_site_fract_y
_atom_site_fract_z
Hf1 Hf 0.000 0.000 0.000
Hf2 Hf 0.339 0.338 0.390
Ge1 Ge 0.641 0.641 0.701
H1 H 0.988 0.986 0.306
```

---

[2]
# HfNpNb
Theoretical powder diffractogram, Cu Kα. Input: a DFT-relaxed cell (GGA-PBE, Alexandria).
Kinematic intensities with the Lorentz-polarization factor, no thermal factor.

The 6 most intense peaks (10° ≤ 2θ ≤ 80°), by angle:
| 2θ (°) | I (rel.) |
| --- | --- |
| 27.35 | 14 |
| 36.88 | 100 |
| 37.01 | 51 |
| 53.34 | 18 |
| 66.34 | 16 |
| 66.61 | 36 |

Structural model:
```
data_HfNpNb
_cell_length_a 3.435
_cell_length_b 3.435
_cell_length_c 10.379
_cell_angle_alpha 90.00
_cell_angle_beta 90.00
_cell_angle_gamma 90.00
_symmetry_space_group_name_H-M 'I 4 m m'
_symmetry_Int_Tables_number 107
_symmetry_space_group_name_Hall 'I 4 -2'
loop_
_atom_site_label
_atom_site_type_symbol
_atom_site_fract_x
_atom_site_fract_y
_atom_site_fract_z
Hf1 Hf 0.000 0.000 0.000
Np1 Np 0.000 0.000 0.680
Nb1 Nb 0.000 0.000 0.321
```